# 1
Structure and theoretical X-ray diffraction stick pattern of Li2Cd3Se4O12 (the GGA-PBE geometry in OQMD; Cu Kα).
Lines closer than 0.1° are merged.

Structural model:
Unit cell a=7.6002 b=8.5466 c=10.7121 alpha=103.34 beta=92.30 gamma=115.59
Element x y z (fractional)
1 Li 0.0980 0.4538 0.0846
2 Li 0.1961 0.4398 0.5710
3 Li 0.8039 0.5602 0.4290
4 Li 0.9020 0.5462 0.9154
5 Cd 0.0000 0.0000 0.0000
6 Cd 0.0000 0.0000 0.5000
7 Cd 0.3225 0.3870 0.8389
8 Cd 0.3497 0.2815 0.2953
9 Cd 0.6503 0.7185 0.7047
10 Cd 0.6775 0.6130 0.1611
11 Se 0.0744 0.7323 0.7076
12 Se 0.1424 0.8095 0.2310
13 Se 0.4664 0.7531 0.4301
14 Se 0.4764 0.7925 0.0210
15 Se 0.5236 0.2075 0.9790
16 Se 0.5336 0.2469 0.5699
17 Se 0.8576 0.1905 0.7690
18 Se 0.9256 0.2677 0.2924
19 O 0.0045 0.3672 0.9006
20 O 0.0096 0.5100 0.6607
21 O 0.0527 0.1941 0.6894
22 O 0.0657 0.2641 0.1642
23 O 0.0862 0.2484 0.4052
24 O 0.2035 0.9885 0.1635
25 O 0.2806 0.1466 0.9221
26 O 0.3203 0.0522 0.5072
27 O 0.3777 0.6040 0.0791
28 O 0.3976 0.6847 0.5671
29 O 0.4351 0.6861 0.8571
30 O 0.4448 0.4019 0.6429
31 O 0.5552 0.5981 0.3571
32 O 0.5649 0.3139 0.1429
33 O 0.6024 0.3153 0.4329
34 O 0.6223 0.3960 0.9209
35 O 0.6797 0.9478 0.4928
36 O 0.7194 0.8534 0.0779
37 O 0.7965 0.0115 0.8365
38 O 0.9138 0.7516 0.5948
39 O 0.9343 0.7359 0.8358
40 O 0.9473 0.8059 0.3106
41 O 0.9904 0.4900 0.3393
42 O 0.9955 0.6328 0.0994

Top 10 peaks for 2θ = 15–90°, low angle first:
- 2θ = 23.6°, d 3.768, rel. 64.7
- 2θ = 24.0°, d 3.708, rel. 52.5
- 2θ = 24.6°, d 3.615, rel. 65.2
- 2θ = 25.5°, d 3.498, rel. 62.4
- 2θ = 29.2°, d 3.060, rel. 71.9
- 2θ = 29.8°, d 3.002, rel. 100.0
- 2θ = 30.4°, d 2.936, rel. 70.1
- 2θ = 32.4°, d 2.765, rel. 38.6
- 2θ = 32.9°, d 2.721, rel. 40.0
- 2θ = 33.6°, d 2.668, rel. 52.2



# 2
Structure and theoretical X-ray diffraction stick pattern of NaGdCoTe3 (the GGA-PBE geometry in OQMD; Cu Kα).
Lines closer than 0.1° are merged.

Structural model:
Unit cell a=7.6517 b=7.6517 c=11.3381 alpha=90.00 beta=90.00 gamma=148.37
Element x y z (fractional)
1 Na 0.2466 0.7534 0.7500
2 Na 0.7534 0.2466 0.2500
3 Gd 0.0000 0.0000 0.0000
4 Gd 0.0000 0.0000 0.5000
5 Co 0.4717 0.5283 0.2500
6 Co 0.5283 0.4717 0.7500
7 Te 0.0796 0.9204 0.2500
8 Te 0.3595 0.6405 0.0758
9 Te 0.3595 0.6405 0.4242
10 Te 0.6405 0.3595 0.5758
11 Te 0.6405 0.3595 0.9242
12 Te 0.9204 0.0796 0.7500

Top 10 peaks for 2θ = 15–90°, low angle first:
- 2θ = 23.5°, d 3.783, rel. 37.4
- 2θ = 26.5°, d 3.362, rel. 80.6
- 2θ = 28.1°, d 3.178, rel. 71.1
- 2θ = 29.2°, d 3.060, rel. 66.4
- 2θ = 32.3°, d 2.772, rel. 100.0
- 2θ = 38.9°, d 2.315, rel. 36.2
- 2θ = 40.0°, d 2.252, rel. 31.8
- 2θ = 40.7°, d 2.215, rel. 54.3
- 2θ = 43.4°, d 2.086, rel. 38.4
- 2θ = 44.7°, d 2.029, rel. 41.4



# 3
Structure and theoretical X-ray diffraction stick pattern of ErMg6Ag (the GGA-PBE geometry in OQMD; Cu Kα).
Lines closer than 0.1° are merged.

Structural model:
Unit cell a=6.4769 b=6.4769 c=5.0525 alpha=90.00 beta=90.00 gamma=120.00
Element x y z (fractional)
1 Er 0.0000 0.0000 0.0000
2 Mg 0.0008 0.5004 0.0000
3 Mg 0.1692 0.3384 0.5000
4 Mg 0.1692 0.8308 0.5000
5 Mg 0.4996 0.5004 0.0000
6 Mg 0.4996 0.9992 0.0000
7 Mg 0.6616 0.8308 0.5000
8 Ag 0.6667 0.3333 0.5000

Top 10 peaks for 2θ = 15–90°, low angle first:
- 2θ = 15.8°, d 5.609, rel. 39.5
- 2θ = 23.7°, d 3.754, rel. 85.9
- 2θ = 27.5°, d 3.238, rel. 38.5
- 2θ = 31.9°, d 2.805, rel. 25.3
- 2θ = 35.5°, d 2.526, rel. 24.1
- 2θ = 36.6°, d 2.452, rel. 100.0
- 2θ = 45.5°, d 1.992, rel. 19.6
- 2θ = 46.5°, d 1.955, rel. 27.7
- 2θ = 64.5°, d 1.444, rel. 18.3
- 2θ = 68.9°, d 1.363, rel. 19.8